# 1
PrSm6Sc6: simulated X-ray powder pattern (Cu Kα (λ = 1.5418 Å)), based on a PBE-relaxed structure.
Neutral-atom scattering factors, no anomalous dispersion.

Atomic structure:
```
PrSm6Sc6
1.0
3.3781 -5.4278 0.0000
3.3781 5.4278 0.0000
0.0000 0.0000 10.8262
Pr Sm Sc
1 6 6
direct
0.0000 0.0000 0.0000 Pr
0.0000 0.0000 0.3329 Sm
0.0000 0.0000 0.6671 Sm
0.2879 0.7121 0.5000 Sm
0.3526 0.6474 0.0000 Sm
0.6474 0.3526 0.0000 Sm
0.7121 0.2879 0.5000 Sm
0.0000 0.5000 0.2300 Sc
0.0000 0.5000 0.7700 Sc
0.5000 0.0000 0.2300 Sc
0.5000 0.0000 0.7700 Sc
0.5000 0.5000 0.2856 Sc
0.5000 0.5000 0.7144 Sc
```

Principal peaks in the range 2θ = 10–90°, by angle:
- 2θ = 26.4°, rel. 76
- 2θ = 28.0°, rel. 100
- 2θ = 29.7°, rel. 70
- 2θ = 31.2°, rel. 66
- 2θ = 32.6°, rel. 59
- 2θ = 33.1°, rel. 50
- 2θ = 35.4°, rel. 59
- 2θ = 40.2°, rel. 42

# 2
Pr3Sm6Sc2: simulated X-ray powder pattern (Cu Kα (λ = 1.5418 Å)), based on a PBE-relaxed structure.
Neutral-atom scattering factors, no anomalous dispersion.

Atomic structure:
```
Pr3Sm6Sc2
1.0
2.9020 -6.0653 0.0000
2.9020 6.0653 0.0000
0.0000 0.0000 10.3684
Pr Sm Sc
3 6 2
direct
0.0000 0.0000 0.0000 Pr
0.2953 0.7047 0.0000 Pr
0.7047 0.2953 0.0000 Pr
0.1507 0.8493 0.3182 Sm
0.1507 0.8493 0.6818 Sm
0.5000 0.5000 0.2155 Sm
0.5000 0.5000 0.7845 Sm
0.8493 0.1507 0.3182 Sm
0.8493 0.1507 0.6818 Sm
0.3728 0.6272 0.5000 Sc
0.6272 0.3728 0.5000 Sc
```

Principal peaks in the range 2θ = 10–90°, by angle:
- 2θ = 25.8°, rel. 20
- 2θ = 28.2°, rel. 26
- 2θ = 30.8°, rel. 66
- 2θ = 31.0°, rel. 39
- 2θ = 32.0°, rel. 100
- 2θ = 44.1°, rel. 15
- 2θ = 55.6°, rel. 21
- 2θ = 62.0°, rel. 22

# 3
PrSm4Sc2: simulated X-ray powder pattern (Cu Kα (λ = 1.5418 Å)), based on a PBE-relaxed structure.
Neutral-atom scattering factors, no anomalous dispersion.

Atomic structure:
```
PrSm4Sc2
1.0
8.6319 0.0000 0.0000
0.0000 6.5041 0.0000
-4.1887 0.0000 7.8966
Pr Sm Sc
2 8 4
direct
0.0805 0.2500 0.3434 Pr
0.9195 0.7500 0.6566 Pr
0.2406 0.2500 0.7643 Sm
0.3469 0.7500 0.9095 Sm
0.3979 0.0023 0.2662 Sm
0.3979 0.4977 0.2662 Sm
0.6021 0.5023 0.7338 Sm
0.6021 0.9977 0.7338 Sm
0.6531 0.2500 0.0905 Sm
0.7594 0.7500 0.2357 Sm
0.0051 0.7500 0.0574 Sc
0.1962 0.7500 0.4876 Sc
0.8038 0.2500 0.5124 Sc
0.9949 0.2500 0.9426 Sc
```

Principal peaks in the range 2θ = 10–90°, by angle:
- 2θ = 22.5°, rel. 29
- 2θ = 29.9°, rel. 100
- 2θ = 30.9°, rel. 46
- 2θ = 31.5°, rel. 50
- 2θ = 33.0°, rel. 43
- 2θ = 34.1°, rel. 35
- 2θ = 34.5°, rel. 40
- 2θ = 56.6°, rel. 35

Q: Number 1 is which compound?
A: PrSm6Sc6